(1)
# BaErPb
Computed powder X-ray diffraction pattern, λ = 1.5418 Å (Cu Kα). Input: a crystal structure in Alexandria, relaxed with PBE.
Lines closer than 0.1° are merged.

Main lines, sorted by position (2θ = 15–90°):
- 4.405 Å, 2θ 20.2, I 163, hkl 1 1 1
- 3.571 Å, 2θ 24.9, I 167, hkl 2 0 0
- 3.361 Å, 2θ 26.5, I 335, hkl 1 1 -2
- 3.320 Å, 2θ 26.9, I 434, hkl 2 0 1
- 2.798 Å, 2θ 32.0, I 1000, hkl 2 0 -2
- 2.580 Å, 2θ 34.8, I 246, hkl 1 1 3
- 2.525 Å, 2θ 35.5, I 584, hkl 2 2 0
- 1.805 Å, 2θ 50.6, I 173, hkl 3 1 3
- 1.786 Å, 2θ 51.2, I 209, hkl 4 0 0
- 1.505 Å, 2θ 61.6, I 313, hkl 4 2 -2

Atomic structure:
a = 7.1431 Å, b = 7.1421 Å, c = 9.0040 Å
α = 90.00°, β = 90.04°, γ = 90.00°
Space group C2/m (No. 12)
Inequivalent atoms, fractional coordinates:
Ba  0.2496  0.0000  0.1511
Er  0.0000  0.2499  0.5000
Pb  0.2503  0.0000  0.7267

(2)
# Ba12CaAu6
Computed powder X-ray diffraction pattern, λ = 1.5418 Å (Cu Kα). Input: a crystal structure in Alexandria, relaxed with PBE.
Lines closer than 0.1° are merged.

Main lines, sorted by position (2θ = 15–90°):
- 3.220 Å, 2θ 27.7, I 1000, hkl 3 2 1
- 2.840 Å, 2θ 31.5, I 163, hkl 3 3 0
- 2.363 Å, 2θ 38.1, I 499, hkl 5 1 0
- 2.066 Å, 2θ 43.8, I 131, hkl 5 0 3
- 2.008 Å, 2θ 45.2, I 192, hkl 6 0 0
- 1.955 Å, 2θ 46.5, I 113, hkl 5 3 2
- 1.704 Å, 2θ 53.8, I 134, hkl 5 3 4
- 1.530 Å, 2θ 60.5, I 137, hkl 7 2 3
- 1.420 Å, 2θ 65.8, I 119, hkl 6 6 0
- 1.401 Å, 2θ 66.8, I 196, hkl 8 3 1

Atomic structure:
a = 12.0489 Å, b = 12.0489 Å, c = 12.0489 Å
α = 90.00°, β = 90.00°, γ = 90.00°
Space group Im-3 (No. 204)
Inequivalent atoms, fractional coordinates:
Ba  0.0000  0.1783  0.3154
Ca  0.0000  0.0000  0.0000
Au  0.0000  0.3771  0.5000

(3)
# Pr2Dy3Er7
Computed powder X-ray diffraction pattern, λ = 1.5418 Å (Cu Kα). Input: a crystal structure in Alexandria, relaxed with PBE.
Lines closer than 0.1° are merged.

Main lines, sorted by position (2θ = 15–90°):
- 3.145 Å, 2θ 28.4, I 162, hkl 0 12 0
- 2.934 Å, 2θ 30.5, I 419, hkl 1 11 0
- 2.863 Å, 2θ 31.2, I 232, hkl 0 8 1
- 2.830 Å, 2θ 31.6, I 566, hkl 2 0 0
- 2.819 Å, 2θ 31.7, I 1000, hkl 1 5 1
- 2.647 Å, 2θ 33.9, I 344, hkl 1 7 1
- 2.583 Å, 2θ 34.7, I 214, hkl 1 13 0
- 2.013 Å, 2θ 45.0, I 170, hkl 2 8 1
- 1.632 Å, 2θ 56.4, I 198, hkl 3 5 1
- 1.520 Å, 2θ 61.0, I 175, hkl 2 0 2

Atomic structure:
a = 5.6593 Å, b = 37.7346 Å, c = 3.6028 Å
α = 90.00°, β = 90.00°, γ = 90.00°
Space group Cmmm (No. 65)
Inequivalent atoms, fractional coordinates:
Pr  0.0000  0.1468  0.0000
Dy  0.0000  0.3136  0.5000
Dy  0.0000  0.5000  0.5000
Er  0.0000  0.0000  0.0000
Er  0.0000  0.0703  0.5000
Er  0.0000  0.2304  0.0000
Er  0.0000  0.4117  0.0000

(4)
# Ba3NaAg
Computed powder X-ray diffraction pattern, λ = 1.5418 Å (Cu Kα). Input: a crystal structure in Alexandria, relaxed with PBE.
Lines closer than 0.1° are merged.

Main lines, sorted by position (2θ = 15–90°):
- 3.986 Å, 2θ 22.3, I 475, hkl 1 1 1
- 3.688 Å, 2θ 24.1, I 761, hkl 3 1 -2
- 3.577 Å, 2θ 24.9, I 1000, hkl 3 1 0
- 3.510 Å, 2θ 25.4, I 535, hkl 0 0 3
- 3.260 Å, 2θ 27.4, I 697, hkl 6 0 -2
- 3.215 Å, 2θ 27.7, I 826, hkl 1 1 2
- 3.195 Å, 2θ 27.9, I 783, hkl 4 0 -4
- 3.045 Å, 2θ 29.3, I 498, hkl 1 1 -3
- 3.038 Å, 2θ 29.4, I 412, hkl 5 1 -2
- 2.404 Å, 2θ 37.4, I 558, hkl 0 2 0

Atomic structure:
a = 19.6207 Å, b = 4.8076 Å, c = 12.8489 Å
α = 90.00°, β = 124.97°, γ = 90.00°
Space group C2/m (No. 12)
Inequivalent atoms, fractional coordinates:
Ba  0.0865  0.0000  0.4496
Ba  0.1420  0.5000  0.2194
Ba  0.1720  0.5000  0.8039
Na  0.0652  0.0000  0.9261
Ag  0.2371  0.5000  0.5550

(5)
# AlSi2Ru
Computed powder X-ray diffraction pattern, λ = 1.5418 Å (Cu Kα). Input: a crystal structure in Alexandria, relaxed with PBE.
Lines closer than 0.1° are merged.

Main lines, sorted by position (2θ = 15–90°):
- 4.489 Å, 2θ 19.8, I 542, hkl 0 0 1
- 4.150 Å, 2θ 21.4, I 350, hkl 2 0 0
- 3.206 Å, 2θ 27.8, I 214, hkl 2 0 -1
- 2.774 Å, 2θ 32.3, I 250, hkl 1 1 0
- 2.326 Å, 2θ 38.7, I 1000, hkl 1 1 1
- 2.075 Å, 2θ 43.6, I 348, hkl 4 0 0
- 2.059 Å, 2θ 44.0, I 346, hkl 2 0 -2
- 1.899 Å, 2θ 47.9, I 260, hkl 2 0 2
- 1.889 Å, 2θ 48.2, I 527, hkl 3 1 -1
- 1.163 Å, 2θ 83.0, I 204, hkl 2 2 2

Atomic structure:
a = 8.3400 Å, b = 2.9432 Å, c = 4.5103 Å
α = 90.00°, β = 95.55°, γ = 90.00°
Space group C2/m (No. 12)
Inequivalent atoms, fractional coordinates:
Al  0.0000  0.0000  0.0000
Si  0.2397  0.0000  0.7348
Ru  0.0000  0.5000  0.5000

> Which formula does entry 5 have?

AlSi2Ru